The following is a simulated X-ray diffraction stick pattern of BC. It was derived from a structure optimized by DFT (GGA-PBE), using λ = 1.5418 Å (Cu Kα).
Peak positions follow from Bragg's law for the DFT cell and can differ from measured ones.

Principal peaks in the range 10 to 90 degrees two-theta, by intensity:
d 2.167, intensity 100.0
d 2.131, intensity 68.4
d 1.360, intensity 45.9
d 2.302, intensity 44.0
d 1.286, intensity 22.1
d 3.778, intensity 19.6

Structural model:
```
BC
1.0
2.1955 -4.0804 0.0000
2.1955 4.0804 0.0000
-1.1382 0.0000 4.6047
B C
6 6
Cartesian
0.8371 1.3088 0.4607
0.4444 0.0000 2.7608
0.8371 -1.3088 0.4607
2.4158 1.3088 4.1439
2.8085 0.0000 1.8439
2.4158 -1.3088 4.1439
0.8602 1.3936 2.0370
0.2924 0.0000 4.3443
0.8602 -1.3936 2.0370
2.3927 1.3936 2.5677
2.9604 0.0000 0.2604
2.3927 -1.3936 2.5677
```



The following is a simulated X-ray diffraction stick pattern of B5C7. It was derived from a structure optimized by DFT (GGA-PBE), using λ = 1.5418 Å (Cu Kα).
Peak positions follow from Bragg's law for the DFT cell and can differ from measured ones.

Principal peaks in the range 10 to 90 degrees two-theta, by intensity:
d 2.155, intensity 100.0
d 2.137, intensity 43.5
d 2.147, intensity 42.7
d 1.341, intensity 25.6
d 1.346, intensity 24.8
d 4.642, intensity 14.8

Structural model:
```
B5C7
1.0
6.6285 -1.2697 0.0000
6.6285 1.2697 0.0000
-1.1260 0.0000 4.6424
B C
5 7
Cartesian
0.0000 0.0000 0.0000
6.1315 0.0000 2.3111
8.4930 0.0000 1.3417
10.0731 0.0000 2.2757
10.7772 0.0000 0.6790
1.5450 0.0000 0.3494
1.3163 0.0000 3.7400
2.7353 0.0000 4.3032
3.7308 0.0000 3.2076
5.1408 0.0000 3.6056
7.7288 0.0000 2.8364
12.2653 0.0000 1.3194
```



The following is a simulated X-ray diffraction stick pattern of B5C7. It was derived from a structure optimized by DFT (GGA-PBE), using λ = 1.5418 Å (Cu Kα).
Peak positions follow from Bragg's law for the DFT cell and can differ from measured ones.

Principal peaks in the range 10 to 90 degrees two-theta, by intensity:
d 2.225, intensity 100.0
d 2.082, intensity 46.8
d 2.005, intensity 39.0
d 1.321, intensity 29.7
d 3.507, intensity 18.4
d 1.364, intensity 16.5

Structural model:
```
B5C7
1.0
4.1697 -1.3122 0.0000
4.1697 1.3122 0.0000
-3.7924 0.0000 7.0686
B C
5 7
Cartesian
0.0000 0.0000 0.0000
0.6300 0.0000 3.1519
2.4905 0.0000 3.6239
3.9126 0.0000 2.2344
2.4324 0.0000 6.6558
-1.3411 0.0000 4.4379
-2.0416 0.0000 5.8332
0.2050 0.0000 4.7264
2.1815 0.0000 2.0105
4.5171 0.0000 0.7736
6.0675 0.0000 1.2083
4.7330 0.0000 5.4836
```